Entry 1:
The following is a theoretical XRD peak list of K2Na3SiP3. It was derived from a structure optimized by DFT (PBE), using λ = 1.5418 Å (Cu Kα).
Peak positions follow from Bragg's law for the DFT cell and can differ from measured ones.

The 10 most intense peaks (10 to 90 degrees two-theta), sorted by position:
Position (°2θ), d [Å], I (rel.)
29.4, 3.041, 37
30.1, 2.969, 100
30.7, 2.914, 38
31.4, 2.845, 43
33.5, 2.677, 53
36.5, 2.459, 19
37.5, 2.401, 66
39.3, 2.290, 13
42.3, 2.137, 30
57.8, 1.596, 24

Structural model:
```
data_K2Na3SiP3
_chemical_formula_sum 'K8 Na12 Si4 P12'
_cell_length_a 14.6637
_cell_length_b 4.8008
_cell_length_c 13.2225
_cell_angle_alpha 90.00
_cell_angle_beta 90.00
_cell_angle_gamma 90.00
_symmetry_space_group_name_H-M 'P n m a'
_symmetry_Int_Tables_number 62
loop_
_symmetry_equiv_pos_as_xyz
'x,y,z'
'-x,-y,-z'
'-x+1/2,-y,z+1/2'
'x+1/2,y,-z+1/2'
'x+1/2,-y+1/2,-z+1/2'
'-x+1/2,y+1/2,z+1/2'
'-x,y+1/2,-z'
'x,-y+1/2,z'
loop_
_atom_site_label
_atom_site_type_symbol
_atom_site_fract_x
_atom_site_fract_y
_atom_site_fract_z
K1 K 0.0120 0.2500 0.1362
K2 K 0.2017 0.7500 0.0594
Na1 Na 0.0591 0.2500 0.4289
Na2 Na 0.0840 0.2500 0.6829
Na3 Na 0.2425 0.7500 0.7662
Si1 Si 0.2032 0.7500 0.4156
P1 P 0.1135 0.7500 0.2838
P2 P 0.1406 0.7500 0.5672
P3 P 0.1481 0.2500 0.8959
```

---

Entry 2:
The following is a theoretical XRD peak list of K3Na2SnP3. It was derived from a structure optimized by DFT (PBE), using λ = 1.5418 Å (Cu Kα).
Peak positions follow from Bragg's law for the DFT cell and can differ from measured ones.

The 10 most intense peaks (10 to 90 degrees two-theta), sorted by position:
Position (°2θ), d [Å], I (rel.)
11.7, 7.576, 66
15.1, 5.871, 81
22.5, 3.957, 28
26.5, 3.364, 24
29.1, 3.068, 100
30.2, 2.960, 57
35.8, 2.511, 86
37.9, 2.372, 68
49.2, 1.851, 22
67.1, 1.395, 21

Structural model:
```
data_K3Na2SnP3
_chemical_formula_sum 'K24 Na16 Sn8 P24'
_cell_length_a 20.1197
_cell_length_b 6.7132
_cell_length_c 15.1512
_cell_angle_alpha 90.00
_cell_angle_beta 90.00
_cell_angle_gamma 90.00
_symmetry_space_group_name_H-M 'C m c e'
_symmetry_Int_Tables_number 64
_symmetry_space_group_name_Hall '-C 2ac 2'
loop_
_atom_site_label
_atom_site_type_symbol
_atom_site_fract_x
_atom_site_fract_y
_atom_site_fract_z
K1 K 0.0000 0.2409 0.1800
K2 K 0.1670 0.2303 0.8232
Na1 Na 0.0808 0.0000 0.0000
Na2 Na 0.2448 0.0000 0.0000
Sn1 Sn 0.0882 0.0000 0.5000
P1 P 0.0000 0.2034 0.4076
P2 P 0.1577 0.2192 0.6036
```